The following is a theoretical X-ray powder pattern of Tb6Nd2Tm3. It was derived from a GGA-PBE-relaxed structure, using Cu Kα X-rays.

Peak list (8 most intense, 2θ = 5–70°, sorted by position)
Position (°2θ), I (rel.)
7.7, 15
31.0, 100
31.1, 33
36.0, 67
51.8, 32
51.9, 16
61.7, 42
61.8, 14

Atomic structure:
```
data_Tb6Nd2Tm3
_chemical_formula_sum 'Tb6 Nd2 Tm3'
_cell_length_a 6.1148
_cell_length_b 6.1148
_cell_length_c 11.6863
_cell_angle_alpha 95.05
_cell_angle_beta 95.05
_cell_angle_gamma 120.06
_space_group_name_H-M_alt 'P 1'
_space_group_IT_number 1
loop_
_space_group_symop_operation_xyz
'x,y,z'
loop_
_atom_site_label
_atom_site_fract_x
_atom_site_fract_y
_atom_site_fract_z
_atom_site_occupancy
Tb1 0.0845 0.4180 0.7545 1
Tb2 0.2491 0.2491 0.2457 1
Tb3 0.4180 0.0845 0.7545 1
Tb4 0.5820 0.9155 0.2455 1
Tb5 0.7509 0.7509 0.7543 1
Tb6 0.9155 0.5820 0.2455 1
Nd1 0.3333 0.6667 0.5000 1
Nd2 0.6667 0.3333 0.5000 1
Tm1 0.1655 0.8345 0.0000 1
Tm2 0.5000 0.5000 0.0000 1
Tm3 0.8345 0.1655 0.0000 1
```